Calculated powder diffractogram of Sc2MoPt9 for Cu Ka, from a structure optimized by DFT (GGA-PBE).

Most intense lines, 10 to 80 degrees two-theta, in order of rising 2θ:
d (Å), I/Imax, index
3.997, 12.5, 1 0 0
2.827, 10.7, 1 1 0
2.308, 100.0, 1 1 3
2.005, 16.2, 0 0 6
1.996, 32.8, 2 0 0
1.791, 2.0, 1 0 6
1.786, 4.0, 2 1 0
1.631, 3.0, 2 1 3
1.414, 21.1, 2 0 6
1.411, 10.7, 2 2 0
1.208, 12.3, 1 1 9
1.204, 25.6, 3 1 3

```
Sc2MoPt9
1.0
3.9917 0.0000 0.0000
0.0000 3.9917 0.0000
0.0000 0.0000 12.0275
Sc Mo Pt
2 1 9
Direct
0.0000 0.0000 0.1629
0.0000 0.0000 0.8371
0.0000 0.0000 0.5000
0.0000 0.5000 0.0000
0.0000 0.5000 0.3396
0.0000 0.5000 0.6604
0.5000 0.0000 0.0000
0.5000 0.0000 0.3396
0.5000 0.0000 0.6604
0.5000 0.5000 0.1693
0.5000 0.5000 0.5000
0.5000 0.5000 0.8307
```